This entry pairs a crystal structure of Co5CuO8 with its computed PXRD pattern. Radiation: Cu Ka. Structure: a crystal structure in Alexandria, relaxed with GGA+U.
Kinematic intensities with the Lorentz-polarization factor, no thermal factor.

Principal peaks in the range 2θ from 5° to 70°, by angle:
d [Å]	Rel. int.
2.912	25
2.888	30
2.487	50
2.472	100
2.464	42
2.051	38
1.578	30
1.574	23
1.456	41
1.444	41

abc: 5.8254 5.8254 5.8254
angles: 59.45 59.45 59.45
Atoms (fractional coordinates):
Co 0.0000 0.5000 0.5000
Co 0.1241 0.1241 0.1241
Co 0.5000 0.0000 0.5000
Co 0.5000 0.5000 0.0000
Co 0.8759 0.8759 0.8759
Cu 0.5000 0.5000 0.5000
O 0.2557 0.2557 0.7118
O 0.2557 0.7118 0.2557
O 0.2630 0.2630 0.2630
O 0.2882 0.7443 0.7443
O 0.7118 0.2557 0.2557
O 0.7370 0.7370 0.7370
O 0.7443 0.2882 0.7443
O 0.7443 0.7443 0.2882